Entry 1:
Structure and simulated XRD peak list of TbMgSe3 (a cell relaxed with GGA-PBE; Cu Kα (λ = 1.5418 Å)).

Cell and atoms:
```
data_TbMgSe3
_chemical_formula_sum 'Tb4 Mg4 Se12'
_space_group_name_H-M_alt 'C 1 2/m 1'
_space_group_IT_number 12
_cell_length_a 8.474
_cell_length_b 11.951
_cell_length_c 6.340
_cell_angle_alpha 90.00
_cell_angle_beta 120.55
_cell_angle_gamma 90.00
loop_
_space_group_symop_operation_xyz
'x,y,z'
'-x,-y,-z'
'-x,y,-z'
'x,-y,z'
'x+1/2,y+1/2,z'
'-x+1/2,-y+1/2,-z'
'-x+1/2,y+1/2,-z'
'x+1/2,-y+1/2,z'
loop_
_atom_site_label
_atom_site_fract_x
_atom_site_fract_y
_atom_site_fract_z
Tb1 0.226 0.000 0.189
Mg1 0.000 0.328 0.000
Se1 0.024 0.154 0.766
Se2 0.096 0.500 0.302
```

Largest 12 diffraction maxima, low angle first, 2θ from 5° to 70°:
d = 5.976 Å, intensity 100; d = 5.443 Å, intensity 94; d = 3.497 Å, intensity 61; d = 3.337 Å, intensity 51; d = 3.114 Å, intensity 56; d = 2.742 Å, intensity 86; d = 2.730 Å, intensity 52; d = 2.462 Å, intensity 100; d = 2.310 Å, intensity 72; d = 2.177 Å, intensity 22; d = 1.993 Å, intensity 47; d = 1.823 Å, intensity 31

***

Entry 2:
Structure and simulated XRD peak list of Cs3B12H12I (a cell relaxed with GGA-PBE; Cu Kα (λ = 1.5418 Å)).

Cell and atoms:
```
data_Cs3B12H12I
_chemical_formula_sum 'Cs9 B36 H36 I3'
_space_group_name_H-M_alt 'R -3 m'
_space_group_IT_number 166
_space_group_name_Hall '-R 3 2"'
_cell_length_a 10.8651
_cell_length_b 10.8651
_cell_length_c 12.1665
_cell_angle_alpha 90.00
_cell_angle_beta 90.00
_cell_angle_gamma 120.00
loop_
_atom_site_label
_atom_site_fract_x
_atom_site_fract_y
_atom_site_fract_z
Cs1 0.0000 0.5000 0.0000
B1 0.0545 0.1090 0.8896
B2 0.0885 0.1771 0.0262
H1 0.0302 0.5151 0.7124
H2 0.0934 0.1868 0.8109
I1 0.0000 0.0000 0.5000
```

Largest 12 diffraction maxima, low angle first, 2θ from 5° to 70°:
d = 7.443 Å, intensity 45; d = 4.388 Å, intensity 46; d = 3.722 Å, intensity 100; d = 3.414 Å, intensity 38; d = 3.250 Å, intensity 37; d = 2.716 Å, intensity 41; d = 2.553 Å, intensity 57; d = 2.481 Å, intensity 19; d = 2.194 Å, intensity 20; d = 1.860 Å, intensity 17; d = 1.707 Å, intensity 25; d = 1.535 Å, intensity 19

***

Entry 3:
Structure and simulated XRD peak list of Ca2TiRuO6 (a cell relaxed with GGA-PBE; Cu Kα (λ = 1.5418 Å)).

Cell and atoms:
```
data_Ca2TiRuO6
_chemical_formula_sum 'Ca4 Ti2 Ru2 O12'
_space_group_name_H-M_alt 'P 1 21/c 1'
_space_group_IT_number 14
_cell_length_a 5.430
_cell_length_b 5.533
_cell_length_c 9.443
_cell_angle_alpha 90.00
_cell_angle_beta 124.98
_cell_angle_gamma 90.00
loop_
_space_group_symop_operation_xyz
'x,y,z'
'-x,-y,-z'
'-x,y+1/2,-z+1/2'
'x,-y+1/2,z+1/2'
loop_
_atom_site_label
_atom_site_fract_x
_atom_site_fract_y
_atom_site_fract_z
Ca1 0.240 0.046 0.250
Ti1 0.500 0.000 0.000
Ru1 0.000 0.000 0.500
O1 0.165 0.206 0.958
O2 0.254 0.710 0.957
O3 0.335 0.023 0.752
```

Largest 12 diffraction maxima, low angle first, 2θ from 5° to 70°:
d = 4.500 Å, intensity 13; d = 4.446 Å, intensity 13; d = 3.873 Å, intensity 42; d = 2.766 Å, intensity 25; d = 2.738 Å, intensity 100; d = 2.715 Å, intensity 24; d = 1.936 Å, intensity 54; d = 1.732 Å, intensity 9; d = 1.592 Å, intensity 17; d = 1.585 Å, intensity 11; d = 1.573 Å, intensity 18; d = 1.571 Å, intensity 12